1.
LiB8C8: simulated powder diffraction line list (Cu Ka), based on a structure optimized by DFT (PBE).
No peak broadening, texture or thermal motion is included.

Structure:
Cell: 17.307 2.665 9.373 Å, 90.00 105.94 90.00°
Space group C2/m (No. 12)
One atom of each set of equivalent atoms:
Li (0.000, 0.000, 0.000) [2 per cell]
B (0.111, 0.000, 0.224) [4 per cell]
B (0.114, 0.500, 0.975) [4 per cell]
B (0.129, 0.500, 0.483) [4 per cell]
B (0.130, 0.000, 0.734) [4 per cell]
C (0.106, 0.500, 0.135) [4 per cell]
C (0.118, 0.000, 0.892) [4 per cell]
C (0.124, 0.000, 0.395) [4 per cell]
C (0.133, 0.500, 0.650) [4 per cell]

Main lines, low angle first (10° ≤ 2θ ≤ 90°):
10.6°, rel. 5, (2 0 0)
12.3°, rel. 3, (2 0 -1)
16.4°, rel. 3, (2 0 1)
21.4°, rel. 100, (4 0 0)
38.4°, rel. 3, (2 0 -4)
38.9°, rel. 7, (1 1 -2)
43.5°, rel. 8, (8 0 0)
44.3°, rel. 2, (6 0 -4)
44.8°, rel. 10, (3 1 2)
69.8°, rel. 4, (3 1 -6)

2.
Rb5Pb2Se6: simulated powder diffraction line list (Cu Ka), based on a structure optimized by DFT (PBE).
No peak broadening, texture or thermal motion is included.

Structure:
Cell: 13.363 15.222 4.931 Å, 90.00 90.00 90.00°
Space group Pbam (No. 55)
One atom of each set of equivalent atoms:
Rb (0.000, 0.000, 0.000) [2 per cell]
Rb (0.081, 0.256, 0.000) [4 per cell]
Rb (0.183, 0.504, 0.000) [4 per cell]
Pb (0.169, 0.711, 0.500) [4 per cell]
Se (0.004, 0.582, 0.500) [4 per cell]
Se (0.163, 0.111, 0.500) [4 per cell]
Se (0.169, 0.810, 0.000) [4 per cell]

Main lines, low angle first (10° ≤ 2θ ≤ 90°):
11.6°, rel. 48, (0 2 0)
22.5°, rel. 100, (1 2 1)
27.3°, rel. 56, (4 1 0)
27.6°, rel. 47, (3 1 1)
28.6°, rel. 73, (2 3 1)
30.4°, rel. 47, (1 4 1)
32.1°, rel. 45, (4 3 0)
32.3°, rel. 86, (3 3 1)
35.7°, rel. 56, (3 5 0)
36.4°, rel. 76, (0 0 2)

3.
Tb2Ho5Er4: simulated powder diffraction line list (Cu Ka), based on a structure optimized by DFT (PBE).
No peak broadening, texture or thermal motion is included.

Structure:
Cell: 3.511 8.614 11.662 Å, 75.88 81.39 89.97°
Space group P-1 (No. 2)
One atom of each set of equivalent atoms:
Tb (0.091, 0.227, 0.318) [2 per cell]
Ho (0.000, 0.500, 0.500) [1 per cell]
Ho (0.273, 0.682, 0.955) [2 per cell]
Ho (0.364, 0.408, 0.773) [2 per cell]
Er (0.182, 0.955, 0.136) [2 per cell]
Er (0.454, 0.136, 0.592) [2 per cell]

Main lines, low angle first (10° ≤ 2θ ≤ 90°):
31.2°, rel. 100, (0 3 1)
36.1°, rel. 17, (0 2 -3)
36.2°, rel. 34, (1 2 3)
52.0°, rel. 12, (1 4 0)
52.1°, rel. 24, (2 0 1)
61.8°, rel. 14, (1 3 -4)
61.9°, rel. 28, (2 3 2)
65.0°, rel. 12, (0 6 2)
85.0°, rel. 10, (1 7 1)
87.9°, rel. 8, (2 6 3)

4.
Ti3SnS: simulated powder diffraction line list (Cu Ka), based on a structure optimized by DFT (PBE).
No peak broadening, texture or thermal motion is included.

Structure:
Cell: 6.002 13.805 4.441 Å, 90.00 90.00 90.00°
Space group Cmmm (No. 65)
One atom of each set of equivalent atoms:
Ti (0.000, 0.168, 0.000) [4 per cell]
Ti (0.218, 0.500, 0.500) [4 per cell]
Ti (0.250, 0.250, 0.500) [4 per cell]
Sn (0.000, 0.376, 0.000) [4 per cell]
S (0.000, 0.116, 0.500) [4 per cell]

Main lines, low angle first (10° ≤ 2θ ≤ 90°):
16.1°, rel. 25, (1 1 0)
25.8°, rel. 68, (0 4 0)
31.7°, rel. 22, (1 3 1)
32.9°, rel. 100, (0 4 1)
36.1°, rel. 94, (2 0 1)
39.8°, rel. 98, (2 4 0)
40.6°, rel. 57, (0 0 2)
41.3°, rel. 58, (1 5 1)
53.1°, rel. 19, (0 8 0)
58.2°, rel. 61, (2 4 2)